Structure and calculated powder diffractogram of KZnO3 (a DFT-relaxed cell (PBE, the Materials Project); Cu Kα (weighted mean of Kα1 and Kα2)).

Structural model:
```
KZnO3
1.0
4.0885 0.0000 0.0000
0.0000 4.0885 0.0000
0.0000 0.0000 4.0885
K Zn O
1 1 3
Direct
0.0000 0.0000 0.0000 K
0.5000 0.5000 0.5000 Zn
0.0000 0.5000 0.5000 O
0.5000 0.0000 0.5000 O
0.5000 0.5000 0.0000 O
```

Principal peaks in the range 10 to 80 degrees two-theta, by angle:
| 2θ/deg | d (Å) | Rel. int. |
| --- | --- | --- |
| 21.74 | 4.089 | 30 |
| 30.93 | 2.891 | 100 |
| 44.31 | 2.044 | 49 |
| 55.02 | 1.669 | 37 |
| 64.46 | 1.446 | 27 |
| 73.21 | 1.293 | 15 |


Structure and calculated powder diffractogram of K2Zn3O4 (a DFT-relaxed cell (PBE, the Materials Project); Cu Kα (weighted mean of Kα1 and Kα2)).

Structural model:
```
K2Zn3O4
1.0
7.5161 -3.2365 0.0000
7.5161 3.2365 0.0000
-1.3390 0.0000 5.6800
K Zn O
4 6 8
Direct
0.0049 0.7566 0.5119 K
0.2434 0.9951 0.9881 K
0.7566 0.0049 0.0119 K
0.9951 0.2434 0.4881 K
0.1913 0.4264 0.9151 Zn
0.4264 0.1913 0.4151 Zn
0.4807 0.5193 0.2500 Zn
0.5193 0.4807 0.7500 Zn
0.5736 0.8087 0.5849 Zn
0.8087 0.5736 0.0849 Zn
0.1417 0.3867 0.2137 O
0.2645 0.6189 0.9552 O
0.3811 0.7355 0.5448 O
0.3867 0.1417 0.7137 O
0.6133 0.8583 0.2863 O
0.6189 0.2645 0.4552 O
0.7355 0.3811 0.0448 O
0.8583 0.6133 0.7863 O
```

Principal peaks in the range 10 to 80 degrees two-theta, by angle:
| 2θ/deg | d (Å) | Rel. int. |
| --- | --- | --- |
| 14.97 | 5.920 | 94 |
| 32.80 | 2.731 | 96 |
| 33.61 | 2.666 | 100 |
| 35.28 | 2.544 | 63 |
| 35.49 | 2.529 | 49 |
| 36.33 | 2.473 | 45 |


Structure and calculated powder diffractogram of K4ZnO3 (a DFT-relaxed cell (PBE, the Materials Project); Cu Kα (weighted mean of Kα1 and Kα2)).

Structural model:
```
K4ZnO3
1.0
7.0386 0.0000 0.0000
3.0253 8.4744 0.0000
0.1295 2.5223 10.8995
K Zn O
16 4 12
Direct
0.0026 0.4699 0.1999 K
0.1216 0.9062 0.6687 K
0.1357 0.0884 0.8829 K
0.1887 0.3555 0.5804 K
0.2784 0.6565 0.9823 K
0.3447 0.1218 0.3778 K
0.3850 0.8657 0.2038 K
0.4835 0.5524 0.7038 K
0.5165 0.4476 0.2962 K
0.6150 0.1343 0.7962 K
0.6553 0.8782 0.6222 K
0.7216 0.3435 0.0177 K
0.8113 0.6445 0.4196 K
0.8643 0.9116 0.1171 K
0.8784 0.0938 0.3313 K
0.9974 0.5301 0.8001 K
0.2120 0.7220 0.4409 Zn
0.3362 0.2331 0.0611 Zn
0.6638 0.7669 0.9389 Zn
0.7880 0.2780 0.5591 Zn
0.0603 0.6787 0.5816 O
0.1074 0.1628 0.1052 O
0.1360 0.6906 0.2850 O
0.3599 0.3611 0.9027 O
0.4254 0.8030 0.4642 O
0.4423 0.8289 0.8162 O
0.5577 0.1711 0.1838 O
0.5746 0.1970 0.5358 O
0.6401 0.6389 0.0973 O
0.8640 0.3094 0.7150 O
0.8926 0.8372 0.8948 O
0.9397 0.3213 0.4184 O
```

Principal peaks in the range 10 to 80 degrees two-theta, by angle:
| 2θ/deg | d (Å) | Rel. int. |
| --- | --- | --- |
| 20.17 | 4.402 | 34 |
| 29.94 | 2.984 | 100 |
| 32.19 | 2.781 | 52 |
| 32.99 | 2.715 | 64 |
| 34.54 | 2.597 | 44 |
| 35.53 | 2.526 | 51 |


Structure and calculated powder diffractogram of K2ZnO2 (a DFT-relaxed cell (PBE, the Materials Project); Cu Kα (weighted mean of Kα1 and Kα2)).

Structural model:
```
K2ZnO2
1.0
-3.0466 5.2654 2.7502
3.0466 -5.2654 2.7502
3.0466 5.2654 -2.7502
K Zn O
4 2 4
Direct
0.1523 0.1363 0.2887 K
0.3477 0.6363 0.9840 K
0.6523 0.3637 0.0160 K
0.8477 0.8637 0.7113 K
0.2500 0.7500 0.5000 Zn
0.7500 0.2500 0.5000 Zn
0.0955 0.6856 0.7811 O
0.4045 0.1856 0.5902 O
0.5955 0.8144 0.4098 O
0.9045 0.3144 0.2189 O
```

Principal peaks in the range 10 to 80 degrees two-theta, by angle:
| 2θ/deg | d (Å) | Rel. int. |
| --- | --- | --- |
| 16.82 | 5.271 | 100 |
| 29.36 | 3.042 | 94 |
| 34.72 | 2.584 | 50 |
| 36.86 | 2.438 | 81 |
| 45.52 | 1.993 | 36 |
| 47.81 | 1.902 | 55 |


Structure and calculated powder diffractogram of K4Zr5O12 (a DFT-relaxed cell (PBE, the Materials Project); Cu Kα (weighted mean of Kα1 and Kα2)).

Structural model:
```
K4Zr5O12
1.0
5.9040 0.0000 0.0000
-2.9520 5.1130 0.0000
0.0000 0.0000 10.5967
K Zr O
4 5 12
Direct
0.0000 0.0000 0.1789 K
0.0000 0.0000 0.8211 K
0.3333 0.6667 0.3868 K
0.6667 0.3333 0.6132 K
0.0000 0.0000 0.5000 Zr
0.3333 0.6667 0.0241 Zr
0.3333 0.6667 0.7166 Zr
0.6667 0.3333 0.2834 Zr
0.6667 0.3333 0.9759 Zr
0.0192 0.5096 0.8776 O
0.1650 0.3299 0.6214 O
0.1650 0.8350 0.6214 O
0.3299 0.1650 0.3786 O
0.4904 0.5096 0.8776 O
0.4904 0.9808 0.8776 O
0.5096 0.0192 0.1224 O
0.5096 0.4904 0.1224 O
0.6701 0.8350 0.6214 O
0.8350 0.1650 0.3786 O
0.8350 0.6701 0.3786 O
0.9808 0.4904 0.1224 O
```

Principal peaks in the range 10 to 80 degrees two-theta, by angle:
| 2θ/deg | d (Å) | Rel. int. |
| --- | --- | --- |
| 19.27 | 4.605 | 63 |
| 30.28 | 2.952 | 100 |
| 30.77 | 2.906 | 87 |
| 43.71 | 2.071 | 63 |
| 46.03 | 1.972 | 22 |
| 54.09 | 1.695 | 36 |


Structure and calculated powder diffractogram of K2Zr2O5 (a DFT-relaxed cell (PBE, the Materials Project); Cu Kα (weighted mean of Kα1 and Kα2)).

Structural model:
```
K2Zr2O5
1.0
5.9326 0.0000 0.0000
0.0000 10.9101 0.0000
0.0000 0.0000 8.8858
K Zr O
8 8 20
Direct
0.0636 0.1661 0.0783 K
0.0636 0.3339 0.4217 K
0.4364 0.6661 0.4217 K
0.4364 0.8339 0.0783 K
0.5636 0.1661 0.9217 K
0.5636 0.3339 0.5783 K
0.9364 0.6661 0.5783 K
0.9364 0.8339 0.9217 K
0.0316 0.0766 0.6592 Zr
0.0316 0.4234 0.8408 Zr
0.4684 0.5766 0.8408 Zr
0.4684 0.9234 0.6592 Zr
0.5316 0.0766 0.3408 Zr
0.5316 0.4234 0.1592 Zr
0.9684 0.5766 0.1592 Zr
0.9684 0.9234 0.3408 Zr
0.0083 0.7500 0.2500 O
0.1265 0.6070 0.9496 O
0.1265 0.8930 0.5504 O
0.2500 0.0000 0.2450 O
0.2500 0.0000 0.8227 O
0.2500 0.5000 0.2550 O
0.2500 0.5000 0.6773 O
0.3735 0.1070 0.5504 O
0.3735 0.3930 0.9496 O
0.4917 0.2500 0.2500 O
0.5083 0.7500 0.7500 O
0.6265 0.6070 0.0504 O
0.6265 0.8930 0.4496 O
0.7500 0.0000 0.1773 O
0.7500 0.0000 0.7550 O
0.7500 0.5000 0.3227 O
0.7500 0.5000 0.7450 O
0.8735 0.1070 0.4496 O
0.8735 0.3930 0.0504 O
0.9917 0.2500 0.7500 O
```

Principal peaks in the range 10 to 80 degrees two-theta, by angle:
| 2θ/deg | d (Å) | Rel. int. |
| --- | --- | --- |
| 12.85 | 6.890 | 60 |
| 30.00 | 2.979 | 100 |
| 30.13 | 2.966 | 35 |
| 30.54 | 2.927 | 50 |
| 31.28 | 2.859 | 31 |
| 43.99 | 2.058 | 33 |


Structure and calculated powder diffractogram of KSnOs (a DFT-relaxed cell (PBE, the Materials Project); Cu Kα (weighted mean of Kα1 and Kα2)).

Structural model:
```
KSnOs
1.0
6.7048 0.0000 0.0000
0.0000 6.7048 0.0000
0.0000 0.0000 6.7048
K Sn Os
4 4 4
Direct
0.0000 0.0000 0.0000 K
0.0000 0.5000 0.5000 K
0.5000 0.0000 0.5000 K
0.5000 0.5000 0.0000 K
0.0000 0.0000 0.5000 Sn
0.0000 0.5000 0.0000 Sn
0.5000 0.0000 0.0000 Sn
0.5000 0.5000 0.5000 Sn
0.2500 0.2500 0.7500 Os
0.2500 0.7500 0.2500 Os
0.7500 0.2500 0.2500 Os
0.7500 0.7500 0.7500 Os
```

Principal peaks in the range 10 to 80 degrees two-theta, by angle:
| 2θ/deg | d (Å) | Rel. int. |
| --- | --- | --- |
| 22.97 | 3.871 | 81 |
| 37.96 | 2.370 | 100 |
| 44.83 | 2.022 | 43 |
| 54.76 | 1.676 | 17 |
| 60.16 | 1.538 | 19 |
| 68.57 | 1.369 | 36 |


Structure and calculated powder diffractogram of K3P (a DFT-relaxed cell (PBE, the Materials Project); Cu Kα (weighted mean of Kα1 and Kα2)).

Structural model:
```
K3P
1.0
5.7395 0.0000 0.0000
-2.8698 4.9706 0.0000
0.0000 0.0000 10.1472
K P
6 2
Direct
0.0000 0.0000 0.2500 K
0.0000 0.0000 0.7500 K
0.3333 0.6667 0.0782 K
0.3333 0.6667 0.4218 K
0.6667 0.3333 0.5782 K
0.6667 0.3333 0.9218 K
0.3333 0.6667 0.7500 P
0.6667 0.3333 0.2500 P
```

Principal peaks in the range 10 to 80 degrees two-theta, by angle:
| 2θ/deg | d (Å) | Rel. int. |
| --- | --- | --- |
| 25.08 | 3.551 | 36 |
| 31.17 | 2.870 | 100 |
| 32.01 | 2.796 | 74 |
| 45.28 | 2.003 | 25 |
| 55.99 | 1.642 | 25 |
| 63.89 | 1.457 | 20 |


Structure and calculated powder diffractogram of K4P3 (a DFT-relaxed cell (PBE, the Materials Project); Cu Kα (weighted mean of Kα1 and Kα2)).

Structural model:
```
K4P3
1.0
2.5104 -5.7185 0.0000
2.5104 5.7185 0.0000
0.0000 0.0000 15.0520
K P
8 6
Direct
0.0000 0.0000 0.0000 K
0.0000 0.0000 0.5000 K
0.0180 0.9820 0.7500 K
0.3049 0.6951 0.6114 K
0.3049 0.6951 0.8886 K
0.6951 0.3049 0.1114 K
0.6951 0.3049 0.3886 K
0.9820 0.0180 0.2500 K
0.2878 0.7122 0.2500 P
0.3864 0.6136 0.1251 P
0.3864 0.6136 0.3749 P
0.6136 0.3864 0.6251 P
0.6136 0.3864 0.8749 P
0.7122 0.2878 0.7500 P
```

Principal peaks in the range 10 to 80 degrees two-theta, by angle:
| 2θ/deg | d (Å) | Rel. int. |
| --- | --- | --- |
| 26.29 | 3.390 | 26 |
| 28.39 | 3.143 | 29 |
| 29.42 | 3.036 | 100 |
| 30.70 | 2.912 | 92 |
| 34.53 | 2.598 | 36 |
| 35.77 | 2.510 | 48 |